Diffraction record for Pu4Ge12Ir. The PXRD pattern is simulated, not measured: it uses the PBE geometry in Alexandria and CuKα.

Principal peaks in the range 2θ = 10–90°, by intensity:
2θ 35.86, I 1000, (2 2 2)
2θ 29.11, I 765, (2 2 0)
2θ 41.64, I 750, (4 0 0)
2θ 60.35, I 463, (4 4 0)
2θ 72.23, I 326, (6 2 2)
2θ 51.61, I 272, (4 2 2)
2θ 20.47, I 203, (2 0 0)
2θ 83.36, I 200, (6 4 2)
2θ 68.39, I 196, (6 2 0)
2θ 38.84, I 152, (3 2 1)

Atomic structure:
```
data_Pu4Ge12Ir
_chemical_formula_sum 'Pu8 Ge24 Ir2'
_symmetry_space_group_name_H-M 'I m -3 m'
_symmetry_Int_Tables_number 229
_symmetry_space_group_name_Hall '-I 4 2 3'
_cell_length_a 8.6757
_cell_length_b 8.6757
_cell_length_c 8.6757
_cell_angle_alpha 90.00
_cell_angle_beta 90.00
_cell_angle_gamma 90.00
loop_
_atom_site_label
_atom_site_fract_x
_atom_site_fract_y
_atom_site_fract_z
Pu1 0.2500 0.2500 0.2500
Ge1 0.0000 0.0000 0.2941
Ge2 0.0000 0.2500 0.5000
Ir1 0.0000 0.0000 0.0000
```